This entry pairs a crystal structure of K2ZnIn2 with its theoretical X-ray diffraction stick pattern. Radiation: copper Kα. Structure: DFT lattice parameters and positions (GGA-PBE).
Intensities are scaled so that the largest is 100.

Main lines, in order of rising 2θ (2θ from 10° to 90°):
2θ 14.7, rel. 62; 2θ 26.6, rel. 18; 2θ 29.6, rel. 37; 2θ 30.6, rel. 100; 2θ 38.0, rel. 28; 2θ 41.0, rel. 23; 2θ 49.0, rel. 26; 2θ 53.2, rel. 20

Crystal structure
```
K2ZnIn2
1.0
7.481 0.000 0.000
0.000 7.481 0.000
0.000 0.000 6.027
K Zn In
4 2 4
Direct
0.178 0.322 0.000
0.322 0.822 0.000
0.678 0.178 0.000
0.822 0.678 0.000
0.000 0.000 0.500
0.500 0.500 0.500
0.140 0.640 0.500
0.360 0.140 0.500
0.640 0.860 0.500
0.860 0.360 0.500
```

This entry pairs a crystal structure of K2Zn3In6 with its theoretical X-ray diffraction stick pattern. Radiation: copper Kα. Structure: DFT lattice parameters and positions (GGA-PBE).
Intensities are scaled so that the largest is 100.

Main lines, in order of rising 2θ (2θ from 10° to 90°):
2θ 11.8, rel. 46; 2θ 20.4, rel. 27; 2θ 28.3, rel. 100; 2θ 35.8, rel. 38; 2θ 37.2, rel. 96; 2θ 39.2, rel. 37; 2θ 41.0, rel. 53; 2θ 59.8, rel. 43

Crystal structure
```
K2Zn3In6
1.0
8.690 0.000 0.000
-4.345 7.526 0.000
0.000 0.000 4.600
K Zn In
2 3 6
Direct
0.333 0.667 0.000
0.667 0.333 0.000
0.000 0.630 0.500
0.370 0.370 0.500
0.630 0.000 0.500
0.000 0.309 0.500
0.000 0.799 0.000
0.201 0.201 0.000
0.309 0.000 0.500
0.691 0.691 0.500
0.799 0.000 0.000
```

This entry pairs a crystal structure of K2ZnIn7 with its theoretical X-ray diffraction stick pattern. Radiation: copper Kα. Structure: DFT lattice parameters and positions (GGA-PBE).
Intensities are scaled so that the largest is 100.

Main lines, in order of rising 2θ (2θ from 10° to 90°):
2θ 14.1, rel. 36; 2θ 19.4, rel. 63; 2θ 28.1, rel. 45; 2θ 29.4, rel. 100; 2θ 36.6, rel. 84; 2θ 38.7, rel. 95; 2θ 40.4, rel. 31; 2θ 67.3, rel. 36

Crystal structure
```
K2ZnIn7
1.0
4.914 0.000 0.000
0.000 4.914 0.000
0.000 0.000 12.519
K Zn In
2 1 7
Direct
0.000 0.500 0.243
0.500 0.000 0.757
0.500 0.500 0.000
0.000 0.000 0.000
0.000 0.000 0.500
0.000 0.500 0.642
0.000 0.500 0.873
0.500 0.000 0.127
0.500 0.000 0.358
0.500 0.500 0.500
```

This entry pairs a crystal structure of La5In4 with its theoretical X-ray diffraction stick pattern. Radiation: copper Kα. Structure: DFT lattice parameters and positions (GGA-PBE).
Intensities are scaled so that the largest is 100.

Main lines, in order of rising 2θ (2θ from 10° to 90°):
2θ 29.0, rel. 100; 2θ 29.2, rel. 64; 2θ 29.6, rel. 62; 2θ 31.7, rel. 24; 2θ 32.5, rel. 75; 2θ 35.3, rel. 63; 2θ 35.9, rel. 42; 2θ 59.6, rel. 28

Crystal structure
```
La5In4
1.0
5.804 -2.541 0.000
5.804 2.541 0.000
-5.256 0.000 10.088
La In
5 4
Direct
0.000 0.000 0.000
0.097 0.097 0.400
0.244 0.244 0.830
0.756 0.756 0.170
0.903 0.903 0.600
0.372 0.372 0.379
0.453 0.453 0.165
0.547 0.547 0.835
0.628 0.628 0.621
```

This entry pairs a crystal structure of La2In3 with its theoretical X-ray diffraction stick pattern. Radiation: copper Kα. Structure: DFT lattice parameters and positions (GGA-PBE).
Intensities are scaled so that the largest is 100.

Main lines, in order of rising 2θ (2θ from 10° to 90°):
2θ 26.3, rel. 56; 2θ 29.9, rel. 93; 2θ 34.1, rel. 100; 2θ 35.1, rel. 60; 2θ 35.4, rel. 81; 2θ 48.5, rel. 33; 2θ 57.8, rel. 24; 2θ 62.0, rel. 36

Crystal structure
```
La2In3
1.0
3.192 -5.534 0.000
3.192 5.534 0.000
0.000 0.000 8.565
La In
4 6
Direct
0.148 0.852 0.900
0.352 0.648 0.400
0.648 0.352 0.600
0.852 0.148 0.100
0.000 0.000 0.500
0.135 0.365 0.750
0.365 0.135 0.250
0.500 0.500 0.000
0.635 0.865 0.750
0.865 0.635 0.250
```

This entry pairs a crystal structure of La3In5 with its theoretical X-ray diffraction stick pattern. Radiation: copper Kα. Structure: DFT lattice parameters and positions (GGA-PBE).
Intensities are scaled so that the largest is 100.

Main lines, in order of rising 2θ (2θ from 10° to 90°):
2θ 28.4, rel. 27; 2θ 31.9, rel. 100; 2θ 32.5, rel. 23; 2θ 32.8, rel. 33; 2θ 33.5, rel. 34; 2θ 34.4, rel. 25; 2θ 37.2, rel. 21; 2θ 37.7, rel. 26

Crystal structure
```
La3In5
1.0
5.214 -4.245 0.000
5.214 4.245 0.000
0.000 0.000 10.701
La In
6 10
Direct
0.130 0.870 0.750
0.295 0.295 0.000
0.295 0.295 0.500
0.705 0.705 0.000
0.705 0.705 0.500
0.870 0.130 0.250
0.003 0.577 0.250
0.195 0.805 0.052
0.195 0.805 0.448
0.423 0.997 0.250
0.488 0.512 0.250
0.512 0.488 0.750
0.577 0.003 0.750
0.805 0.195 0.552
0.805 0.195 0.948
0.997 0.423 0.750
```

This entry pairs a crystal structure of LaIn3 with its theoretical X-ray diffraction stick pattern. Radiation: copper Kα. Structure: DFT lattice parameters and positions (GGA-PBE).
Intensities are scaled so that the largest is 100.

Main lines, in order of rising 2θ (2θ from 10° to 90°):
2θ 32.4, rel. 100; 2θ 37.6, rel. 50; 2θ 54.2, rel. 34; 2θ 64.6, rel. 39; 2θ 67.8, rel. 11; 2θ 80.2, rel. 5; 2θ 89.2, rel. 17

Crystal structure
```
LaIn3
1.0
4.787 0.000 0.000
0.000 4.787 0.000
0.000 0.000 4.787
La In
1 3
Direct
0.000 0.000 0.000
0.000 0.500 0.500
0.500 0.000 0.500
0.500 0.500 0.000
```

This entry pairs a crystal structure of La7In2 with its theoretical X-ray diffraction stick pattern. Radiation: copper Kα. Structure: DFT lattice parameters and positions (GGA-PBE).
Intensities are scaled so that the largest is 100.

Main lines, in order of rising 2θ (2θ from 10° to 90°):
2θ 30.6, rel. 96; 2θ 31.4, rel. 100; 2θ 44.4, rel. 34; 2θ 55.4, rel. 36; 2θ 55.9, rel. 19; 2θ 60.5, rel. 26; 2θ 74.1, rel. 15; 2θ 78.5, rel. 12

Crystal structure
```
La7In2
1.0
5.695 0.000 0.000
-2.847 4.932 0.000
0.000 0.000 10.885
La In
7 2
Direct
0.000 0.000 0.000
0.000 0.000 0.339
0.000 0.000 0.661
0.333 0.667 0.168
0.333 0.667 0.518
0.667 0.333 0.482
0.667 0.333 0.832
0.333 0.667 0.846
0.667 0.333 0.154
```